Computed powder diffraction line list of Er6ThIn5 for a wavelength of 1.5418 Å, from a GGA-PBE-relaxed structure.

Peak list (8 most intense, 10° ≤ 2θ ≤ 80°, by angle)
Position (°2θ)	intensity
32.7	100
35.9	40
41.7	13
51.7	14
56.2	10
62.4	14
62.5	15
68.5	10

Crystal structure
```
Er6ThIn5
1.0
-2.500 4.328 7.516
2.500 -4.328 7.516
2.500 4.328 -7.516
Er Th In
6 1 5
direct
0.068 0.331 0.737
0.227 0.000 0.227
0.406 0.669 0.737
0.594 0.331 0.263
0.773 0.000 0.773
0.932 0.669 0.263
0.500 0.500 0.000
0.000 0.500 0.500
0.178 0.178 0.000
0.346 0.846 0.500
0.654 0.154 0.500
0.822 0.822 0.000
```

Computed powder diffraction line list of Sm7Ir2Pd2 for a wavelength of 1.5418 Å, from a GGA-PBE-relaxed structure.

Peak list (8 most intense, 10° ≤ 2θ ≤ 80°, by angle)
Position (°2θ)	intensity
20.7	20
25.0	49
28.8	24
33.1	50
37.3	35
37.5	100
41.9	22
43.9	23

Crystal structure
```
Sm7Ir2Pd2
1.0
4.124 -5.415 0.000
4.124 5.415 0.000
0.000 0.000 7.035
Sm Ir Pd
7 2 2
direct
0.000 0.000 0.000
0.000 0.500 0.260
0.000 0.500 0.740
0.500 0.000 0.260
0.500 0.000 0.740
0.500 0.500 0.254
0.500 0.500 0.746
0.284 0.716 0.000
0.716 0.284 0.000
0.202 0.202 0.500
0.798 0.798 0.500
```